Diffraction record for Co2O. The X-ray diffraction stick pattern is simulated, not measured: it uses a crystal structure in Alexandria, relaxed with GGA+U and Cu Kα (λ = 1.5418 Å).

Largest 8 diffraction maxima, sorted by position, 2θ from 10° to 80°:
2θ (°), I (rel.), (hkl)
34.87, 24, 0 2 0
35.42, 19, 1 1 0
38.70, 41, 0 0 2
40.04, 16, 0 2 1
40.53, 100, 1 1 1
51.29, 19, 1 2 1
57.24, 13, 0 3 1
71.28, 19, 1 1 3

a b c (Å): 2.912 5.146 4.653
angles (deg): 90.00 90.00 90.00
Space group Pmc2_1 (No. 26)
Symmetry-distinct sites (fractional):
Co: 0.000 0.147 0.000 x2
Co: 0.500 0.259 0.540 x2
O: 0.500 0.368 0.140 x2